Entry 1:
Theoretical powder diffraction line list of KPSO2 for Cu Kα (λ = 1.5418 Å), from the GGA-PBE geometry in the Materials Project.

Structural model:
```
KPSO2
1.0
11.344 0.000 0.000
0.000 8.190 0.000
0.000 0.000 13.870
K P S O
12 12 12 24
direct
0.005 0.188 0.000
0.078 0.685 0.173
0.082 0.676 0.829
0.418 0.176 0.329
0.422 0.185 0.673
0.495 0.688 0.500
0.505 0.312 0.000
0.578 0.815 0.173
0.582 0.824 0.829
0.918 0.324 0.329
0.922 0.315 0.673
0.995 0.812 0.500
0.163 0.206 0.501
0.207 0.518 0.608
0.209 0.516 0.392
0.291 0.016 0.892
0.293 0.018 0.108
0.337 0.706 0.001
0.663 0.294 0.501
0.707 0.982 0.608
0.709 0.984 0.392
0.791 0.484 0.892
0.793 0.482 0.108
0.837 0.794 0.001
0.161 0.068 0.804
0.165 0.073 0.197
0.247 0.502 0.003
0.253 0.002 0.503
0.335 0.573 0.697
0.339 0.568 0.304
0.661 0.432 0.804
0.665 0.427 0.197
0.747 0.998 0.003
0.753 0.498 0.503
0.835 0.927 0.697
0.839 0.932 0.304
0.031 0.199 0.500
0.083 0.572 0.631
0.086 0.571 0.368
0.209 0.319 0.591
0.210 0.317 0.409
0.245 0.582 0.500
0.255 0.082 0.000
0.290 0.817 0.909
0.291 0.819 0.091
0.414 0.071 0.868
0.417 0.072 0.131
0.469 0.699 0.000
0.531 0.301 0.500
0.583 0.928 0.631
0.586 0.929 0.368
0.709 0.181 0.591
0.710 0.183 0.409
0.745 0.918 0.500
0.755 0.418 0.000
0.790 0.683 0.909
0.791 0.681 0.091
0.914 0.429 0.868
0.917 0.428 0.131
0.969 0.801 0.000
```

Main lines, low angle first (2θ from 10° to 80°):
d_spacing	two_theta	I_rel
6.935	12.76	54
5.990	14.79	94
3.852	23.09	67
3.794	23.45	100
3.584	24.85	56
3.320	26.85	76
3.283	27.16	38
3.075	29.04	81
2.780	32.20	57
2.679	33.44	57
2.626	34.14	49
2.479	36.24	37



Entry 2:
Theoretical powder diffraction line list of CsGdSiS4 for Cu Kα (λ = 1.5418 Å), from the GGA-PBE geometry in the Materials Project.

Structural model:
```
CsGdSiS4
1.0
6.443 0.000 0.000
0.000 6.767 0.000
0.000 0.000 17.983
Cs Gd Si S
4 4 4 16
direct
0.001 0.007 0.467
0.499 0.993 0.967
0.501 0.493 0.533
0.999 0.507 0.033
0.208 0.021 0.728
0.292 0.979 0.228
0.708 0.479 0.272
0.792 0.521 0.772
0.210 0.517 0.333
0.290 0.483 0.833
0.710 0.983 0.667
0.790 0.017 0.167
0.052 0.012 0.097
0.069 0.253 0.853
0.106 0.746 0.844
0.110 0.572 0.221
0.390 0.428 0.721
0.394 0.254 0.344
0.431 0.747 0.353
0.448 0.988 0.597
0.552 0.488 0.903
0.569 0.247 0.147
0.606 0.754 0.156
0.610 0.928 0.779
0.890 0.072 0.279
0.894 0.246 0.656
0.931 0.753 0.647
0.948 0.512 0.403
```

Main lines, low angle first (2θ from 10° to 80°):
d_spacing	two_theta	I_rel
4.666	19.02	36
4.510	19.68	100
4.142	21.45	50
3.745	23.76	46
3.682	24.17	35
3.384	26.34	61
3.238	27.55	35
3.033	29.45	69
2.847	31.42	43
2.704	33.14	46
2.259	39.92	71
2.087	43.35	42



Entry 3:
Theoretical powder diffraction line list of CdNi for Cu Kα (λ = 1.5418 Å), from the GGA-PBE geometry in the Materials Project.

Structural model:
```
CdNi
1.0
0.000 5.725 5.725
5.725 0.000 5.725
5.725 5.725 0.000
Cd Ni
12 12
direct
0.074 0.074 0.676
0.074 0.676 0.074
0.074 0.676 0.676
0.324 0.324 0.926
0.324 0.926 0.324
0.324 0.926 0.926
0.676 0.074 0.074
0.676 0.074 0.676
0.676 0.676 0.074
0.926 0.324 0.324
0.926 0.324 0.926
0.926 0.926 0.324
0.000 0.500 0.500
0.297 0.297 0.297
0.297 0.297 0.609
0.297 0.609 0.297
0.391 0.703 0.703
0.500 0.000 0.500
0.500 0.500 0.000
0.500 0.500 0.500
0.609 0.297 0.297
0.703 0.391 0.703
0.703 0.703 0.391
0.703 0.703 0.703
```

Main lines, low angle first (2θ from 10° to 80°):
d_spacing	two_theta	I_rel
2.863	31.25	15
2.627	34.13	21
2.337	38.52	43
2.204	40.95	100
2.024	44.77	36
1.908	47.65	7
1.603	57.48	8
1.491	62.28	7
1.399	66.88	12
1.349	69.68	36
1.322	71.33	9
1.257	75.67	5



Entry 4:
Theoretical powder diffraction line list of Li5SbS for Cu Kα (λ = 1.5418 Å), from the GGA-PBE geometry in the Materials Project.

Structural model:
```
Li5SbS
1.0
7.905 0.000 0.000
0.000 8.025 0.000
-0.316 0.000 8.502
Li Sb S
20 4 4
direct
0.002 0.000 0.477
0.013 0.994 0.033
0.154 0.316 0.233
0.155 0.672 0.234
0.250 0.320 0.784
0.255 0.666 0.788
0.338 0.837 0.486
0.339 0.152 0.483
0.401 0.988 0.074
0.481 0.498 0.233
0.519 0.998 0.767
0.599 0.488 0.926
0.661 0.652 0.517
0.662 0.337 0.514
0.745 0.166 0.212
0.750 0.820 0.216
0.845 0.172 0.766
0.846 0.816 0.767
0.987 0.494 0.967
0.998 0.500 0.523
0.176 0.993 0.763
0.335 0.494 0.511
0.665 0.994 0.489
0.824 0.493 0.237
0.183 0.994 0.265
0.291 0.491 0.014
0.709 0.991 0.986
0.817 0.494 0.735
```

Main lines, low angle first (2θ from 10° to 80°):
d_spacing	two_theta	I_rel
8.502	10.41	35
5.836	15.18	30
5.683	15.59	40
4.752	18.67	37
4.012	22.15	100
3.950	22.51	33
3.543	25.14	86
3.436	25.93	87
3.350	26.61	86
2.215	40.74	27
2.188	41.26	33
2.165	41.72	32